(1)
The following is a theoretical powder diffraction line list of Ni3As4O16. It was derived from a DFT-relaxed cell (PBE+U, the Materials Project), using Cu Kα.
Peak positions follow from Bragg's law for the DFT cell and can differ from measured ones.

Main lines, in order of falling intensity (2θ from 10° to 90°):
2θ 26.03, intensity 100.0
2θ 12.64, intensity 78.7
2θ 20.14, intensity 70.9
2θ 20.62, intensity 47.3
2θ 35.68, intensity 42.9
2θ 25.15, intensity 40.3

Structure:
Lattice parameters (Å, degrees): 9.387 5.033 15.436 90.00 113.43 90.00
Fractional coordinates of all 46 atoms:
Ni1 0.000 0.000 0.000
Ni2 0.000 0.500 0.500
Ni3 0.312 0.001 0.625
Ni4 0.312 0.499 0.125
Ni5 0.688 0.501 0.875
Ni6 0.688 0.999 0.375
As1 0.065 0.508 0.902
As2 0.065 0.992 0.402
As3 0.452 0.520 0.348
As4 0.452 0.980 0.848
As5 0.548 0.020 0.152
As6 0.548 0.480 0.652
As7 0.935 0.008 0.598
As8 0.935 0.492 0.098
O1 0.004 0.178 0.899
O2 0.004 0.322 0.399
O3 0.066 0.574 0.793
O4 0.066 0.926 0.293
O5 0.078 0.199 0.578
O6 0.078 0.301 0.078
O7 0.238 0.592 0.990
O8 0.238 0.908 0.490
O9 0.298 0.057 0.746
O10 0.298 0.443 0.246
O11 0.382 0.627 0.649
O12 0.382 0.873 0.149
O13 0.400 0.071 0.942
O14 0.400 0.429 0.442
O15 0.487 0.641 0.854
O16 0.487 0.859 0.354
O17 0.513 0.141 0.646
O18 0.513 0.359 0.146
O19 0.600 0.571 0.558
O20 0.600 0.929 0.058
O21 0.618 0.127 0.851
O22 0.618 0.373 0.351
O23 0.702 0.557 0.754
O24 0.702 0.943 0.254
O25 0.762 0.092 0.510
O26 0.762 0.408 0.010
O27 0.922 0.699 0.922
O28 0.922 0.801 0.422
O29 0.934 0.074 0.707
O30 0.934 0.426 0.207
O31 0.996 0.678 0.601
O32 0.996 0.822 0.101

(2)
The following is a theoretical powder diffraction line list of Ni2As2O9. It was derived from a DFT-relaxed cell (PBE+U, the Materials Project), using Cu Kα.
Peak positions follow from Bragg's law for the DFT cell and can differ from measured ones.

Main lines, in order of falling intensity (2θ from 10° to 90°):
2θ 30.28, intensity 100.0
2θ 17.15, intensity 77.7
2θ 12.46, intensity 36.3
2θ 13.29, intensity 35.3
2θ 37.94, intensity 27.4
2θ 35.61, intensity 24.0

Structure:
Lattice parameters (Å, degrees): 6.519 14.209 9.594 90.00 128.20 90.00
Fractional coordinates of all 52 atoms:
Ni1 0.177 0.116 0.409
Ni2 0.177 0.384 0.909
Ni3 0.317 0.748 0.863
Ni4 0.317 0.752 0.363
Ni5 0.683 0.248 0.637
Ni6 0.683 0.252 0.137
Ni7 0.823 0.616 0.091
Ni8 0.823 0.884 0.591
As1 0.107 0.186 0.052
As2 0.107 0.314 0.552
As3 0.389 0.577 0.154
As4 0.389 0.923 0.654
As5 0.611 0.077 0.346
As6 0.611 0.423 0.846
As7 0.893 0.686 0.448
As8 0.893 0.814 0.948
O1 0.014 0.015 0.253
O2 0.014 0.485 0.753
O3 0.039 0.211 0.196
O4 0.039 0.289 0.696
O5 0.153 0.658 0.657
O6 0.153 0.842 0.157
O7 0.191 0.650 0.167
O8 0.191 0.850 0.667
O9 0.291 0.035 0.619
O10 0.291 0.465 0.119
O11 0.296 0.080 0.132
O12 0.296 0.420 0.632
O13 0.317 0.229 0.578
O14 0.317 0.271 0.078
O15 0.446 0.625 0.016
O16 0.446 0.875 0.516
O17 0.491 0.666 0.550
O18 0.491 0.834 0.050
O19 0.509 0.166 0.950
O20 0.509 0.334 0.450
O21 0.554 0.125 0.484
O22 0.554 0.375 0.984
O23 0.683 0.729 0.922
O24 0.683 0.771 0.422
O25 0.704 0.580 0.368
O26 0.704 0.920 0.868
O27 0.709 0.535 0.881
O28 0.709 0.965 0.381
O29 0.809 0.150 0.333
O30 0.809 0.350 0.833
O31 0.847 0.158 0.843
O32 0.847 0.342 0.343
O33 0.961 0.711 0.304
O34 0.961 0.789 0.804
O35 0.986 0.515 0.247
O36 0.986 0.985 0.747

(3)
The following is a theoretical powder diffraction line list of Ni3As2O8. It was derived from a DFT-relaxed cell (PBE+U, the Materials Project), using Cu Kα.
Peak positions follow from Bragg's law for the DFT cell and can differ from measured ones.

Main lines, in order of falling intensity (2θ from 10° to 90°):
2θ 35.41, intensity 100.0
2θ 29.83, intensity 53.6
2θ 63.55, intensity 51.1
2θ 36.14, intensity 46.9
2θ 27.28, intensity 40.3
2θ 31.41, intensity 24.7

Structure:
Lattice parameters (Å, degrees): 6.443 6.443 8.287 90.00 90.00 124.29
Fractional coordinates of all 26 atoms:
Ni1 0.000 0.000 0.000
Ni2 0.116 0.384 0.250
Ni3 0.384 0.116 0.750
Ni4 0.500 0.500 0.500
Ni5 0.616 0.884 0.250
Ni6 0.884 0.616 0.750
As1 0.123 0.877 0.385
As2 0.377 0.623 0.885
As3 0.623 0.377 0.115
As4 0.877 0.123 0.615
O1 0.001 0.999 0.250
O2 0.116 0.358 0.499
O3 0.142 0.384 0.001
O4 0.247 0.753 0.267
O5 0.253 0.747 0.767
O6 0.358 0.116 0.501
O7 0.384 0.142 0.999
O8 0.499 0.501 0.750
O9 0.501 0.499 0.250
O10 0.616 0.858 0.001
O11 0.642 0.884 0.499
O12 0.747 0.253 0.233
O13 0.753 0.247 0.733
O14 0.858 0.616 0.999
O15 0.884 0.642 0.501
O16 0.999 0.001 0.750

(4)
The following is a theoretical powder diffraction line list of Ni3As2O8. It was derived from a DFT-relaxed cell (PBE+U, the Materials Project), using Cu Kα.
Peak positions follow from Bragg's law for the DFT cell and can differ from measured ones.

Main lines, in order of falling intensity (2θ from 10° to 90°):
2θ 34.89, intensity 100.0
2θ 25.35, intensity 40.3
2θ 33.07, intensity 39.5
2θ 32.23, intensity 37.0
2θ 32.81, intensity 34.4
2θ 32.05, intensity 27.5

Structure:
Lattice parameters (Å, degrees): 5.839 9.695 10.339 90.00 92.96 90.00
Fractional coordinates of all 52 atoms:
Ni1 0.115 0.135 0.465
Ni2 0.115 0.365 0.965
Ni3 0.358 0.137 0.216
Ni4 0.358 0.363 0.716
Ni5 0.363 0.623 0.558
Ni6 0.363 0.877 0.058
Ni7 0.637 0.123 0.942
Ni8 0.637 0.377 0.442
Ni9 0.642 0.637 0.284
Ni10 0.642 0.863 0.784
Ni11 0.885 0.635 0.035
Ni12 0.885 0.865 0.535
As1 0.124 0.057 0.795
As2 0.124 0.443 0.295
As3 0.368 0.655 0.882
As4 0.368 0.845 0.382
As5 0.632 0.155 0.618
As6 0.632 0.345 0.118
As7 0.876 0.557 0.705
As8 0.876 0.943 0.205
O1 0.117 0.004 0.132
O2 0.117 0.008 0.634
O3 0.117 0.492 0.134
O4 0.117 0.496 0.632
O5 0.130 0.235 0.805
O6 0.130 0.265 0.305
O7 0.157 0.732 0.967
O8 0.157 0.768 0.467
O9 0.369 0.021 0.382
O10 0.369 0.479 0.882
O11 0.373 0.511 0.378
O12 0.373 0.989 0.878
O13 0.387 0.725 0.729
O14 0.387 0.775 0.229
O15 0.395 0.246 0.546
O16 0.395 0.254 0.046
O17 0.605 0.746 0.954
O18 0.605 0.754 0.454
O19 0.613 0.225 0.771
O20 0.613 0.275 0.271
O21 0.627 0.011 0.122
O22 0.627 0.489 0.622
O23 0.631 0.521 0.118
O24 0.631 0.979 0.618
O25 0.843 0.232 0.533
O26 0.843 0.268 0.033
O27 0.870 0.735 0.695
O28 0.870 0.765 0.195
O29 0.883 0.504 0.368
O30 0.883 0.508 0.866
O31 0.883 0.992 0.366
O32 0.883 0.996 0.868

(5)
The following is a theoretical powder diffraction line list of NiAs2O6. It was derived from a DFT-relaxed cell (PBE+U, the Materials Project), using Cu Kα.
Peak positions follow from Bragg's law for the DFT cell and can differ from measured ones.

Main lines, in order of falling intensity (2θ from 10° to 90°):
2θ 29.03, intensity 100.0
2θ 55.61, intensity 50.0
2θ 37.11, intensity 36.6
2θ 19.64, intensity 23.3
2θ 47.79, intensity 22.9
2θ 42.33, intensity 22.1

Structure:
Lattice parameters (Å, degrees): 4.846 4.846 4.521 90.00 90.00 120.00
Fractional coordinates of all 9 atoms:
Ni1 0.000 0.000 0.000
As1 0.333 0.667 0.500
As2 0.667 0.333 0.500
O1 0.000 0.362 0.273
O2 0.000 0.638 0.727
O3 0.362 0.000 0.273
O4 0.362 0.362 0.727
O5 0.638 0.000 0.727
O6 0.638 0.638 0.273

Copy entry 2 word for word.
The following is a theoretical powder diffraction line list of Ni2As2O9. It was derived from a DFT-relaxed cell (PBE+U, the Materials Project), using Cu Kα.
Peak positions follow from Bragg's law for the DFT cell and can differ from measured ones.

Main lines, in order of falling intensity (2θ from 10° to 90°):
2θ 30.28, intensity 100.0
2θ 17.15, intensity 77.7
2θ 12.46, intensity 36.3
2θ 13.29, intensity 35.3
2θ 37.94, intensity 27.4
2θ 35.61, intensity 24.0

Structure:
Lattice parameters (Å, degrees): 6.519 14.209 9.594 90.00 128.20 90.00
Fractional coordinates of all 52 atoms:
Ni1 0.177 0.116 0.409
Ni2 0.177 0.384 0.909
Ni3 0.317 0.748 0.863
Ni4 0.317 0.752 0.363
Ni5 0.683 0.248 0.637
Ni6 0.683 0.252 0.137
Ni7 0.823 0.616 0.091
Ni8 0.823 0.884 0.591
As1 0.107 0.186 0.052
As2 0.107 0.314 0.552
As3 0.389 0.577 0.154
As4 0.389 0.923 0.654
As5 0.611 0.077 0.346
As6 0.611 0.423 0.846
As7 0.893 0.686 0.448
As8 0.893 0.814 0.948
O1 0.014 0.015 0.253
O2 0.014 0.485 0.753
O3 0.039 0.211 0.196
O4 0.039 0.289 0.696
O5 0.153 0.658 0.657
O6 0.153 0.842 0.157
O7 0.191 0.650 0.167
O8 0.191 0.850 0.667
O9 0.291 0.035 0.619
O10 0.291 0.465 0.119
O11 0.296 0.080 0.132
O12 0.296 0.420 0.632
O13 0.317 0.229 0.578
O14 0.317 0.271 0.078
O15 0.446 0.625 0.016
O16 0.446 0.875 0.516
O17 0.491 0.666 0.550
O18 0.491 0.834 0.050
O19 0.509 0.166 0.950
O20 0.509 0.334 0.450
O21 0.554 0.125 0.484
O22 0.554 0.375 0.984
O23 0.683 0.729 0.922
O24 0.683 0.771 0.422
O25 0.704 0.580 0.368
O26 0.704 0.920 0.868
O27 0.709 0.535 0.881
O28 0.709 0.965 0.381
O29 0.809 0.150 0.333
O30 0.809 0.350 0.833
O31 0.847 0.158 0.843
O32 0.847 0.342 0.343
O33 0.961 0.711 0.304
O34 0.961 0.789 0.804
O35 0.986 0.515 0.247
O36 0.986 0.985 0.747